No. 1
Simulated XRD peak list of PrBePd for Cu Kα X-rays, from a DFT-relaxed cell (GGA-PBE, Alexandria).
No peak broadening, texture or thermal motion is included.

Top 10 peaks for 2θ = 10–90°, sorted by position:
(hkl), 2θ (°), I_rel
1 0 0, 24.8, 34
1 0 1, 33.3, 100
1 1 0, 43.6, 33
0 0 2, 44.7, 10
1 0 2, 51.8, 9
2 0 1, 56.0, 22
1 1 2, 64.3, 20
2 1 1, 73.5, 20
1 0 3, 75.1, 9
3 0 0, 80.1, 5

Cell and atoms:
```
data_PrBePd
_chemical_formula_sum 'Pr1 Be1 Pd1'
_cell_length_a 4.1493
_cell_length_b 4.1493
_cell_length_c 4.0531
_cell_angle_alpha 90.00
_cell_angle_beta 90.00
_cell_angle_gamma 120.00
_space_group_name_H-M_alt 'P -6 m 2'
_space_group_IT_number 187
_space_group_name_Hall 'P -6 2'
loop_
_atom_site_label
_atom_site_fract_x
_atom_site_fract_y
_atom_site_fract_z
Pr1 0.0000 0.0000 0.0000
Be1 0.3333 0.6667 0.5000
Pd1 0.6667 0.3333 0.5000
```

No. 2
Simulated XRD peak list of SrIn2BBr for Cu Kα X-rays, from a DFT-relaxed cell (GGA-PBE, Alexandria).
No peak broadening, texture or thermal motion is included.

Top 10 peaks for 2θ = 10–90°, sorted by position:
(hkl), 2θ (°), I_rel
0 0 1, 19.9, 39
1 0 1, 24.9, 49
1 1 1, 29.2, 78
2 0 0, 30.0, 100
2 0 1, 36.3, 34
2 1 1, 39.4, 29
2 2 0, 42.9, 37
2 0 2, 51.2, 43
3 1 1, 52.7, 28
2 2 2, 60.5, 26

Cell and atoms:
```
data_SrIn2BBr
_chemical_formula_sum 'Sr1 In2 B1 Br1'
_cell_length_a 5.9588
_cell_length_b 5.9588
_cell_length_c 4.4593
_cell_angle_alpha 90.00
_cell_angle_beta 90.00
_cell_angle_gamma 90.00
_space_group_name_H-M_alt 'P 4/m m m'
_space_group_IT_number 123
_space_group_name_Hall '-P 4 2'
loop_
_atom_site_label
_atom_site_fract_x
_atom_site_fract_y
_atom_site_fract_z
Sr1 0.0000 0.0000 0.0000
In1 0.0000 0.5000 0.5000
B1 0.5000 0.5000 0.0000
Br1 0.5000 0.5000 0.5000
```

No. 3
Simulated XRD peak list of Rb3Li2DyF9 for Cu Kα X-rays, from a DFT-relaxed cell (GGA-PBE, Alexandria).
No peak broadening, texture or thermal motion is included.

Top 10 peaks for 2θ = 10–90°, sorted by position:
(hkl), 2θ (°), I_rel
0 0 1, 11.6, 26
1 0 0, 17.0, 47
0 1 1, 20.7, 41
0 1 2, 29.0, 100
1 1 0, 29.7, 74
0 2 1, 36.5, 32
2 0 2, 42.0, 82
1 2 2, 52.3, 39
0 2 4, 60.2, 21
2 2 0, 61.7, 22

Cell and atoms:
```
data_Rb3Li2DyF9
_chemical_formula_sum 'Rb3 Li2 Dy1 F9'
_cell_length_a 6.0124
_cell_length_b 6.0124
_cell_length_c 7.6228
_cell_angle_alpha 90.00
_cell_angle_beta 90.00
_cell_angle_gamma 120.00
_space_group_name_H-M_alt 'P -3 m 1'
_space_group_IT_number 164
_space_group_name_Hall '-P 3 2"'
loop_
_atom_site_label
_atom_site_fract_x
_atom_site_fract_y
_atom_site_fract_z
Rb1 0.0000 0.0000 0.0000
Rb2 0.3333 0.6667 0.6936
Li1 0.3333 0.6667 0.1906
Dy1 0.0000 0.0000 0.5000
F1 0.0000 0.5000 0.0000
F2 0.1692 0.3384 0.3311
```

No. 4
Simulated XRD peak list of Tb3Y4Bi4 for Cu Kα X-rays, from a DFT-relaxed cell (GGA-PBE, Alexandria).
No peak broadening, texture or thermal motion is included.

Top 10 peaks for 2θ = 10–90°, sorted by position:
(hkl), 2θ (°), I_rel
1 2 1, 29.3, 83
1 1 4, 31.1, 100
0 3 3, 32.5, 45
1 0 5, 33.3, 33
0 2 6, 36.0, 37
1 3 2, 37.6, 40
0 4 0, 38.5, 21
2 0 0, 43.9, 27
1 2 7, 46.3, 20
1 5 4, 58.0, 53

Cell and atoms:
```
data_Tb3Y4Bi4
_chemical_formula_sum 'Tb6 Y8 Bi8'
_cell_length_a 4.1229
_cell_length_b 9.3423
_cell_length_c 17.7288
_cell_angle_alpha 90.00
_cell_angle_beta 90.00
_cell_angle_gamma 90.00
_space_group_name_H-M_alt 'I m m m'
_space_group_IT_number 71
_space_group_name_Hall '-I 2 2'
loop_
_atom_site_label
_atom_site_fract_x
_atom_site_fract_y
_atom_site_fract_z
Tb1 0.0000 0.0000 0.0000
Tb2 0.0000 0.5000 0.1026
Y1 0.0000 0.3144 0.3337
Bi1 0.0000 0.0000 0.2613
Bi2 0.0000 0.2045 0.5000
```

No. 5
Simulated XRD peak list of ZrSeI3 for Cu Kα X-rays, from a DFT-relaxed cell (GGA-PBE, Alexandria).
No peak broadening, texture or thermal motion is included.

Top 10 peaks for 2θ = 10–90°, sorted by position:
(hkl), 2θ (°), I_rel
0 1 0, 11.1, 93
1 0 0, 11.3, 98
0 1 1, 12.8, 54
2 1 -1, 25.4, 100
1 1 3, 25.9, 63
1 0 -4, 26.3, 78
1 0 4, 29.1, 43
1 2 -3, 30.7, 80
2 3 1, 42.2, 44
4 1 -1, 47.5, 44

Cell and atoms:
```
data_ZrSeI3
_chemical_formula_sum 'Zr4 Se4 I12'
_cell_length_a 7.8890
_cell_length_b 7.9473
_cell_length_c 14.2184
_cell_angle_alpha 90.00
_cell_angle_beta 97.59
_cell_angle_gamma 90.00
_space_group_name_H-M_alt 'P 1 2/c 1'
_space_group_IT_number 13
loop_
_space_group_symop_operation_xyz
'x,y,z'
'-x,-y,-z'
'-x,y,-z+1/2'
'x,-y,z+1/2'
loop_
_atom_site_label
_atom_site_fract_x
_atom_site_fract_y
_atom_site_fract_z
Zr1 0.0847 0.1306 0.1430
Se1 0.1330 0.3577 0.2984
I1 0.1437 0.1855 0.5367
I2 0.2360 0.0782 0.8002
I3 0.3548 0.2916 0.0781
```

No. 6
Simulated XRD peak list of K2Tm2PaS6 for Cu Kα X-rays, from a DFT-relaxed cell (GGA-PBE, Alexandria).
No peak broadening, texture or thermal motion is included.

Top 10 peaks for 2θ = 10–90°, sorted by position:
(hkl), 2θ (°), I_rel
0 0 1, 11.7, 100
0 0 2, 23.6, 16
1 3 0, 26.1, 33
2 0 0, 27.0, 29
1 3 1, 30.3, 75
2 0 1, 32.6, 12
1 3 2, 38.1, 23
1 3 -3, 41.2, 18
0 6 0, 45.5, 25
3 3 -2, 47.1, 20

Cell and atoms:
```
data_K2Tm2PaS6
_chemical_formula_sum 'K4 Tm4 Pa2 S12'
_cell_length_a 6.9074
_cell_length_b 11.9665
_cell_length_c 7.8878
_cell_angle_alpha 90.00
_cell_angle_beta 107.15
_cell_angle_gamma 90.00
_space_group_name_H-M_alt 'C 1 2/m 1'
_space_group_IT_number 12
loop_
_space_group_symop_operation_xyz
'x,y,z'
'-x,-y,-z'
'-x,y,-z'
'x,-y,z'
'x+1/2,y+1/2,z'
'-x+1/2,-y+1/2,-z'
'-x+1/2,y+1/2,-z'
'x+1/2,-y+1/2,z'
loop_
_atom_site_label
_atom_site_fract_x
_atom_site_fract_y
_atom_site_fract_z
K1 0.0000 0.1677 0.0000
Tm1 0.0000 0.3337 0.5000
Pa1 0.0000 0.0000 0.5000
S1 0.2311 0.1678 0.6946
S2 0.2330 0.5000 0.6945
```